The following is a calculated powder diffraction line list of Ag4Bi2O5. It was derived from DFT lattice parameters and positions (PBE), using Cu Kα.

Atomic structure:
a = 14.5884 Å, b = 5.9970 Å, c = 8.7669 Å
α = 90.00°, β = 90.00°, γ = 90.00°
Space group Pnna (No. 52)
Inequivalent atoms, fractional coordinates:
Ag 0.0814 0.0114 0.1412
Ag 0.2476 0.7500 0.2500
Ag 0.2500 0.0000 0.9343
Bi 0.1114 0.0098 0.5839
O 0.0430 0.5494 0.1293
O 0.1159 0.1319 0.9150
O 0.2500 0.0000 0.4373

The 6 most intense peaks (2θ from 10° to 80°), by angle:
2θ (°), I/Imax
25.9, 176
29.8, 296
30.4, 262
31.3, 1000
37.0, 170
53.8, 187



The following is a calculated powder diffraction line list of PaAg2BiO6. It was derived from DFT lattice parameters and positions (PBE), using Cu Kα.

Atomic structure:
a = 10.1026 Å, b = 6.0772 Å, c = 5.8114 Å
α = 90.00°, β = 125.07°, γ = 90.00°
Space group C2/m (No. 12)
Inequivalent atoms, fractional coordinates:
Pa 0.0000 0.0000 0.0000
Ag 0.2503 0.0000 0.7666
Bi 0.0000 0.5000 0.5000
O 0.0627 0.2519 0.8110
O 0.2487 0.5000 0.6289

The 6 most intense peaks (2θ from 10° to 80°), by angle:
2θ (°), I/Imax
29.4, 264
30.3, 1000
30.8, 208
43.1, 250
52.7, 217
54.5, 320



The following is a calculated powder diffraction line list of AgBiPbO5. It was derived from DFT lattice parameters and positions (PBE), using Cu Kα.

Atomic structure:
a = 8.2300 Å, b = 9.0131 Å, c = 8.4514 Å
α = 90.00°, β = 118.28°, γ = 90.00°
Space group C2/c (No. 15)
Inequivalent atoms, fractional coordinates:
Ag 0.0000 0.1836 0.2500
Bi 0.0000 0.1918 0.7500
Pb 0.0000 0.5000 0.0000
O 0.0000 0.4407 0.7500
O 0.0177 0.2526 0.5062
O 0.1977 0.0227 0.8495

The 6 most intense peaks (2θ from 10° to 80°), by angle:
2θ (°), I/Imax
23.3, 892
24.6, 1000
31.2, 520
31.9, 489
32.3, 814
48.3, 301



The following is a calculated powder diffraction line list of Pm2AgBiO5. It was derived from DFT lattice parameters and positions (PBE), using Cu Kα.

Atomic structure:
a = 6.7658 Å, b = 6.7658 Å, c = 6.4945 Å
α = 90.00°, β = 90.00°, γ = 90.00°
Space group P4/mbm (No. 127)
Inequivalent atoms, fractional coordinates:
Pm 0.1751 0.3249 0.0000
Ag 0.0000 0.0000 0.5000
Bi 0.0000 0.5000 0.5000
O 0.0000 0.0000 0.0000
O 0.1460 0.6460 0.2300

The 6 most intense peaks (2θ from 10° to 80°), by angle:
2θ (°), I/Imax
27.5, 426
29.8, 1000
32.6, 290
40.8, 252
47.2, 232
50.0, 233



Repeat the fourth record exactly.
The following is a calculated powder diffraction line list of Pm2AgBiO5. It was derived from DFT lattice parameters and positions (PBE), using Cu Kα.

Atomic structure:
a = 6.7658 Å, b = 6.7658 Å, c = 6.4945 Å
α = 90.00°, β = 90.00°, γ = 90.00°
Space group P4/mbm (No. 127)
Inequivalent atoms, fractional coordinates:
Pm 0.1751 0.3249 0.0000
Ag 0.0000 0.0000 0.5000
Bi 0.0000 0.5000 0.5000
O 0.0000 0.0000 0.0000
O 0.1460 0.6460 0.2300

The 6 most intense peaks (2θ from 10° to 80°), by angle:
2θ (°), I/Imax
27.5, 426
29.8, 1000
32.6, 290
40.8, 252
47.2, 232
50.0, 233



> Number 4 is which compound?

Pm2AgBiO5



What did the third record say?
The following is a calculated powder diffraction line list of AgBiPbO5. It was derived from DFT lattice parameters and positions (PBE), using Cu Kα.

Atomic structure:
a = 8.2300 Å, b = 9.0131 Å, c = 8.4514 Å
α = 90.00°, β = 118.28°, γ = 90.00°
Space group C2/c (No. 15)
Inequivalent atoms, fractional coordinates:
Ag 0.0000 0.1836 0.2500
Bi 0.0000 0.1918 0.7500
Pb 0.0000 0.5000 0.0000
O 0.0000 0.4407 0.7500
O 0.0177 0.2526 0.5062
O 0.1977 0.0227 0.8495

The 6 most intense peaks (2θ from 10° to 80°), by angle:
2θ (°), I/Imax
23.3, 892
24.6, 1000
31.2, 520
31.9, 489
32.3, 814
48.3, 301